1.
# LiIn4Pb
Calculated X-ray diffraction stick pattern, Cu Kα. Input: a GGA-PBE-relaxed structure.
Kinematic intensities with the Lorentz-polarization factor, no thermal factor.

Peak list (10 most intense, 2θ from 10° to 90°, by angle)
- hkl 0 1 2, 27.27 deg, rel. 34
- hkl 1 0 2, 30.57 deg, rel. 26
- hkl 1 1 0, 33.19 deg, rel. 100
- hkl 0 1 3, 33.44 deg, rel. 86
- hkl 1 0 3, 36.23 deg, rel. 69
- hkl 0 2 0, 43.15 deg, rel. 24
- hkl 1 1 5, 55.60 deg, rel. 20
- hkl 1 2 3, 57.58 deg, rel. 36
- hkl 2 1 3, 63.09 deg, rel. 27
- hkl 1 1 6, 63.56 deg, rel. 18

Atomic structure:
```
data_LiIn4Pb
_chemical_formula_sum 'Li1 In4 Pb1'
_cell_length_a 3.5281
_cell_length_b 4.1931
_cell_length_c 10.4529
_cell_angle_alpha 90.00
_cell_angle_beta 90.00
_cell_angle_gamma 90.00
_space_group_name_H-M_alt 'P m m m'
_space_group_IT_number 47
_space_group_name_Hall '-P 2 2'
loop_
_atom_site_label
_atom_site_type_symbol
_atom_site_fract_x
_atom_site_fract_y
_atom_site_fract_z
_atom_site_occupancy
Li1 Li 0.0000 0.0000 0.0000 1
In1 In 0.0000 0.0000 0.3075 1
In2 In 0.5000 0.5000 0.1474 1
Pb1 Pb 0.5000 0.5000 0.5000 1
```

=====

2.
# Ho2TmIr9
Calculated X-ray diffraction stick pattern, Cu Kα. Input: a GGA-PBE-relaxed structure.
Kinematic intensities with the Lorentz-polarization factor, no thermal factor.

Peak list (10 most intense, 2θ from 10° to 90°, by angle)
- hkl 1 0 1, 19.67 deg, rel. 19
- hkl 1 1 0, 33.90 deg, rel. 22
- hkl 0 2 1, 39.50 deg, rel. 32
- hkl 1 1 6, 39.79 deg, rel. 100
- hkl 0 0 12, 41.11 deg, rel. 27
- hkl 0 1 11, 42.59 deg, rel. 18
- hkl 2 0 5, 43.07 deg, rel. 41
- hkl 3 0 6, 64.64 deg, rel. 24
- hkl 2 2 0, 71.34 deg, rel. 27
- hkl 2 2 12, 85.78 deg, rel. 24

Atomic structure:
```
data_Ho2TmIr9
_chemical_formula_sum 'Ho6 Tm3 Ir27'
_cell_length_a 5.2884
_cell_length_b 5.2884
_cell_length_c 26.3494
_cell_angle_alpha 90.00
_cell_angle_beta 90.00
_cell_angle_gamma 120.00
_space_group_name_H-M_alt 'R -3 m'
_space_group_IT_number 166
_space_group_name_Hall '-R 3 2"'
loop_
_atom_site_label
_atom_site_type_symbol
_atom_site_fract_x
_atom_site_fract_y
_atom_site_fract_z
_atom_site_occupancy
Ho1 Ho 0.0000 0.0000 0.1391 1
Tm1 Tm 0.0000 0.0000 0.0000 1
Ir1 Ir 0.0000 0.0000 0.3329 1
Ir2 Ir 0.0000 0.0000 0.5000 1
Ir3 Ir 0.0004 0.5002 0.0822 1
```